[1]
# LiScMo2W
Computed powder XRD pattern, λ = 1.5418 Å (Cu Kα). Input: a cell relaxed with PBE.
No peak broadening, texture or thermal motion is included.

Atomic structure:
a = 4.339 Å, b = 4.339 Å, c = 4.380 Å
α = 90.00°, β = 90.00°, γ = 90.00°
Space group P4/mmm (No. 123)
One atom of each set of equivalent atoms:
Li: 0.000 0.000 0.000 (multiplicity 1)
Sc: 0.500 0.500 0.500 (multiplicity 1)
Mo: 0.000 0.500 0.000 (multiplicity 2)
W: 0.000 0.000 0.500 (multiplicity 1)

Most intense lines, 2θ from 15° to 90°, in order of rising 2θ:
2θ/deg, I/Imax
20.47, 23
28.97, 17
35.73, 100
41.23, 18
41.63, 34
46.82, 6
51.52, 7
60.03, 23
60.34, 11
71.58, 13
72.15, 25
75.70, 11


[2]
# Cr8Re
Computed powder XRD pattern, λ = 1.5418 Å (Cu Kα). Input: a cell relaxed with PBE.
No peak broadening, texture or thermal motion is included.

Atomic structure:
a = 8.642 Å, b = 8.642 Å, c = 2.896 Å
α = 90.00°, β = 90.00°, γ = 90.00°
Space group I4/mmm (No. 139)
One atom of each set of equivalent atoms:
Cr: 0.000 0.336 0.000 (multiplicity 8)
Cr: 0.171 0.171 0.500 (multiplicity 8)
Re: 0.000 0.000 0.000 (multiplicity 2)

Most intense lines, 2θ from 15° to 90°, in order of rising 2θ:
2θ/deg, I/Imax
20.55, 15
29.23, 9
32.61, 11
32.77, 11
38.86, 14
44.35, 100
44.48, 49
62.61, 7
64.34, 8
64.72, 15
81.57, 15
81.83, 29


[3]
# BC2
Computed powder XRD pattern, λ = 1.5418 Å (Cu Kα). Input: a cell relaxed with PBE.
No peak broadening, texture or thermal motion is included.

Atomic structure:
a = 4.662 Å, b = 2.491 Å, c = 6.589 Å
α = 90.00°, β = 92.17°, γ = 90.00°
Space group Pm (No. 6)
One atom of each set of equivalent atoms:
B: 0.000 0.000 0.000 (multiplicity 1)
B: 0.154 0.500 0.672 (multiplicity 1)
B: 0.367 0.000 0.547 (multiplicity 1)
B: 0.832 0.500 0.335 (multiplicity 1)
C: 0.031 0.000 0.241 (multiplicity 1)
C: 0.193 0.500 0.907 (multiplicity 1)
C: 0.353 0.000 0.304 (multiplicity 1)
C: 0.507 0.500 0.226 (multiplicity 1)
C: 0.509 0.500 0.986 (multiplicity 1)
C: 0.665 0.000 0.907 (multiplicity 1)
C: 0.686 0.000 0.671 (multiplicity 1)
C: 0.818 0.500 0.585 (multiplicity 1)

Most intense lines, 2θ from 15° to 90°, in order of rising 2θ:
2θ/deg, I/Imax
19.05, 6
23.81, 9
41.13, 46
41.61, 52
43.18, 100
70.93, 25
71.41, 13
71.60, 26
76.48, 12
84.54, 5
86.93, 9
87.57, 8


[4]
# PmNdYEr
Computed powder XRD pattern, λ = 1.5418 Å (Cu Kα). Input: a cell relaxed with PBE.
No peak broadening, texture or thermal motion is included.

Atomic structure:
a = 5.108 Å, b = 5.108 Å, c = 10.146 Å
α = 90.00°, β = 90.00°, γ = 90.00°
Space group I-4m2 (No. 119)
One atom of each set of equivalent atoms:
Pm: 0.000 0.000 0.000 (multiplicity 2)
Nd: 0.000 0.500 0.250 (multiplicity 2)
Y: 0.000 0.000 0.500 (multiplicity 2)
Er: 0.000 0.500 0.750 (multiplicity 2)

Most intense lines, 2θ from 15° to 90°, in order of rising 2θ:
2θ/deg, I/Imax
30.38, 100
35.14, 34
35.39, 17
50.54, 12
50.73, 24
60.12, 29
60.45, 14
63.21, 12
82.31, 6
82.60, 12
84.90, 5
85.05, 5


[5]
# Ce2SiTeO4
Computed powder XRD pattern, λ = 1.5418 Å (Cu Kα). Input: a cell relaxed with PBE.
No peak broadening, texture or thermal motion is included.

Atomic structure:
a = 6.411 Å, b = 7.277 Å, c = 11.337 Å
α = 90.00°, β = 90.00°, γ = 90.00°
Space group Pbcm (No. 57)
One atom of each set of equivalent atoms:
Ce: 0.111 0.250 0.000 (multiplicity 4)
Ce: 0.388 0.538 0.250 (multiplicity 4)
Si: 0.385 0.750 0.000 (multiplicity 4)
Te: 0.097 0.574 0.750 (multiplicity 4)
O: 0.232 0.577 0.035 (multiplicity 8)
O: 0.455 0.231 0.615 (multiplicity 8)

Most intense lines, 2θ from 15° to 90°, in order of rising 2θ:
2θ/deg, I/Imax
24.27, 23
29.16, 76
29.30, 18
31.53, 100
34.42, 25
38.86, 32
39.73, 15
50.90, 14
57.48, 13
65.77, 14
65.89, 13
67.08, 16


[6]
# LiTi2O4
Computed powder XRD pattern, λ = 1.5418 Å (Cu Kα). Input: a cell relaxed with PBE.
No peak broadening, texture or thermal motion is included.

Atomic structure:
a = 5.9276 Å, b = 5.9276 Å, c = 9.6426 Å
α = 90.00°, β = 90.00°, γ = 120.00°
Space group P6_3mc (No. 186)
One atom of each set of equivalent atoms:
Li: 0.0000 0.0000 0.0000 (multiplicity 2)
Li: 0.3333 0.6667 0.4035 (multiplicity 2)
Ti: 0.1704 0.3409 0.7207 (multiplicity 6)
Ti: 0.3333 0.6667 0.9938 (multiplicity 2)
O: 0.0000 0.0000 0.3155 (multiplicity 2)
O: 0.0392 0.5196 0.8455 (multiplicity 6)
O: 0.1660 0.3320 0.1024 (multiplicity 6)
O: 0.3333 0.6667 0.6092 (multiplicity 2)

Most intense lines, 2θ from 15° to 90°, in order of rising 2θ:
2θ/deg, I/Imax
18.40, 57
19.59, 100
25.34, 29
32.88, 33
35.56, 49
36.22, 41
39.79, 46
45.21, 65
52.05, 21
55.31, 19
60.00, 44
62.69, 42


[7]
# Mg6AlTl2
Computed powder XRD pattern, λ = 1.5418 Å (Cu Kα). Input: a cell relaxed with PBE.
No peak broadening, texture or thermal motion is included.

Atomic structure:
a = 8.3495 Å, b = 8.3495 Å, c = 3.3880 Å
α = 90.00°, β = 90.00°, γ = 120.00°
Space group P-62m (No. 189)
One atom of each set of equivalent atoms:
Mg: 0.0000 0.3605 0.0000 (multiplicity 3)
Mg: 0.0000 0.7210 0.5000 (multiplicity 3)
Al: 0.0000 0.0000 0.0000 (multiplicity 1)
Tl: 0.3333 0.6667 0.5000 (multiplicity 2)

Most intense lines, 2θ from 15° to 90°, in order of rising 2θ:
2θ/deg, I/Imax
21.28, 100
26.30, 22
29.11, 31
32.77, 21
34.08, 78
36.34, 29
37.31, 59
42.50, 32
46.22, 27
51.42, 24
65.23, 26
67.59, 21


[8]
# RbIn2Pb3
Computed powder XRD pattern, λ = 1.5418 Å (Cu Kα). Input: a cell relaxed with PBE.
No peak broadening, texture or thermal motion is included.

Atomic structure:
a = 5.356 Å, b = 9.413 Å, c = 16.208 Å
α = 90.00°, β = 90.00°, γ = 90.00°
Space group Immm (No. 71)
One atom of each set of equivalent atoms:
Rb: 0.000 0.000 0.135 (multiplicity 4)
In: 0.000 0.342 0.500 (multiplicity 4)
In: 0.000 0.500 0.185 (multiplicity 4)
Pb: 0.000 0.200 0.326 (multiplicity 8)
Pb: 0.000 0.333 0.000 (multiplicity 4)

Most intense lines, 2θ from 15° to 90°, in order of rising 2θ:
2θ/deg, I/Imax
18.88, 26
22.02, 19
23.39, 27
25.79, 19
29.19, 40
30.21, 100
33.16, 43
33.46, 52
34.94, 72
40.06, 18
47.83, 31
56.76, 38


[9]
# Ho2Zn4Ag5
Computed powder XRD pattern, λ = 1.5418 Å (Cu Kα). Input: a cell relaxed with PBE.
No peak broadening, texture or thermal motion is included.

Atomic structure:
a = 5.498 Å, b = 8.454 Å, c = 9.078 Å
α = 90.00°, β = 90.00°, γ = 90.00°
Space group Immm (No. 71)
One atom of each set of equivalent atoms:
Ho: 0.000 0.000 0.207 (multiplicity 4)
Zn: 0.000 0.339 0.257 (multiplicity 8)
Ag: 0.000 0.500 0.500 (multiplicity 2)
Ag: 0.248 0.181 0.500 (multiplicity 8)

Most intense lines, 2θ from 15° to 90°, in order of rising 2θ:
2θ/deg, I/Imax
27.58, 33
28.86, 29
31.40, 23
33.29, 70
35.77, 82
38.28, 100
39.09, 42
39.72, 55
40.15, 28
41.12, 93
62.26, 24
79.25, 25


[10]
# Y2SnO
Computed powder XRD pattern, λ = 1.5418 Å (Cu Kα). Input: a cell relaxed with PBE.
No peak broadening, texture or thermal motion is included.

Atomic structure:
a = 4.516 Å, b = 8.797 Å, c = 4.516 Å
α = 90.00°, β = 90.00°, γ = 90.00°
Space group Pmn2_1 (No. 31)
One atom of each set of equivalent atoms:
Y: 0.000 0.000 0.000 (multiplicity 2)
Y: 0.000 0.334 0.501 (multiplicity 2)
Sn: 0.000 0.700 0.502 (multiplicity 2)
O: 0.000 0.073 0.500 (multiplicity 2)

Most intense lines, 2θ from 15° to 90°, in order of rising 2θ:
2θ/deg, I/Imax
27.94, 34
29.76, 76
30.48, 57
34.71, 100
39.92, 69
51.05, 53
57.74, 23
60.03, 29
66.30, 16
66.70, 23
69.16, 27
88.09, 20


[11]
# Li4ZrO4
Computed powder XRD pattern, λ = 1.5418 Å (Cu Kα). Input: a cell relaxed with PBE.
No peak broadening, texture or thermal motion is included.

Atomic structure:
a = 5.375 Å, b = 15.145 Å, c = 5.399 Å
α = 90.00°, β = 115.81°, γ = 90.00°
Space group P2_1/c (No. 14)
One atom of each set of equivalent atoms:
Li: 0.112 0.112 0.198 (multiplicity 4)
Li: 0.151 0.227 0.561 (multiplicity 4)
Li: 0.248 0.010 0.797 (multiplicity 4)
Li: 0.354 0.718 0.359 (multiplicity 4)
Zr: 0.331 0.601 0.909 (multiplicity 4)
O: 0.024 0.595 0.020 (multiplicity 4)
O: 0.153 0.683 0.587 (multiplicity 4)
O: 0.382 0.012 0.211 (multiplicity 4)
O: 0.402 0.197 0.370 (multiplicity 4)

Most intense lines, 2θ from 15° to 90°, in order of rising 2θ:
2θ/deg, I/Imax
19.20, 100
20.32, 59
21.74, 16
23.50, 16
25.49, 45
26.33, 14
33.47, 17
34.90, 30
35.53, 36
39.48, 29
41.19, 24
57.12, 14


[12]
# AcHo3Er7
Computed powder XRD pattern, λ = 1.5418 Å (Cu Kα). Input: a cell relaxed with PBE.
No peak broadening, texture or thermal motion is included.

Atomic structure:
a = 6.952 Å, b = 5.546 Å, c = 9.798 Å
α = 90.00°, β = 108.30°, γ = 90.00°
Space group P2/m (No. 10)
One atom of each set of equivalent atoms:
Ac: 0.000 0.000 0.000 (multiplicity 1)
Ho: 0.274 0.500 0.492 (multiplicity 2)
Ho: 0.500 0.000 0.000 (multiplicity 1)
Er: 0.000 0.000 0.500 (multiplicity 1)
Er: 0.149 0.500 0.788 (multiplicity 2)
Er: 0.332 0.500 0.145 (multiplicity 2)
Er: 0.438 0.000 0.333 (multiplicity 2)

Most intense lines, 2θ from 15° to 90°, in order of rising 2θ:
2θ/deg, I/Imax
31.26, 21
31.53, 78
32.12, 22
32.26, 100
32.84, 17
33.10, 56
45.71, 12
46.72, 13
52.71, 12
57.11, 12
58.08, 12
63.18, 14